Theoretical powder X-ray diffraction pattern
Compound: K2BaZrSe4
Radiation: copper Kα
Structure: a GGA-PBE-relaxed structure

Peak list (10 most intense, 10° ≤ 2θ ≤ 80°, by angle)
two_theta, d_spacing, intensity
11.71, 7.559, 43
12.54, 7.058, 14
28.00, 3.186, 46
28.37, 3.146, 100
36.38, 2.470, 14
38.35, 2.347, 17
40.29, 2.239, 59
42.66, 2.119, 18
48.15, 1.890, 13
51.81, 1.765, 16

Atomic structure:
```
K2BaZrSe4
1.0
-4.2386 4.6939 6.3728
4.2386 -4.6939 6.3728
4.2386 4.6939 -6.3728
K Ba Zr Se
4 2 2 8
Direct
0.0000 0.0000 0.0000
0.5000 0.0000 0.0000
0.5000 0.0000 0.5000
0.5000 0.5000 0.5000
0.0000 0.5000 0.5000
0.5000 0.5000 0.0000
0.0000 0.0000 0.5000
0.0000 0.5000 0.0000
0.1990 0.2492 0.9498
0.2006 0.7508 0.4498
0.2122 0.2114 0.4992
0.2122 0.7130 0.0008
0.7878 0.2870 0.9992
0.7878 0.7886 0.5008
0.7994 0.2492 0.5502
0.8010 0.7508 0.0502
```